# 1
Computed X-ray diffraction stick pattern
Compound: K3HoP2O8
Radiation: Cu Kα X-rays
Structure: a cell relaxed with GGA-PBE
Kinematic intensities with the Lorentz-polarization factor, no thermal factor.

Principal peaks in the range 2θ from 10° to 80°, in order of rising 2θ:
d/Å, Position (°2θ), I_rel
7.502, 11.80, 100
4.871, 18.21, 39
4.065, 21.86, 47
4.034, 22.04, 19
2.987, 29.91, 34
2.967, 30.12, 32
2.957, 30.23, 64
2.843, 31.47, 51
2.754, 32.51, 59
2.265, 39.79, 19

Atomic structure:
abc: 7.5037 5.6854 9.4449
angles: 90.00 91.18 90.00
Atoms (fractional coordinates):
K 0.0031 0.2500 0.1915
K 0.1382 0.7500 0.4120
K 0.2960 0.2500 0.9180
K 0.7040 0.7500 0.0820
K 0.8618 0.2500 0.5880
K 0.9969 0.7500 0.8085
Ho 0.4939 0.7500 0.7121
Ho 0.5061 0.2500 0.2879
P 0.2738 0.7500 0.0908
P 0.3175 0.2500 0.5714
P 0.6825 0.7500 0.4286
P 0.7262 0.2500 0.9092
O 0.0693 0.7500 0.1035
O 0.2159 0.2500 0.4252
O 0.2685 0.0266 0.6592
O 0.2685 0.4734 0.6592
O 0.3297 0.7500 0.9324
O 0.3523 0.5261 0.1661
O 0.3523 0.9739 0.1661
O 0.4820 0.7500 0.4644
O 0.5180 0.2500 0.5356
O 0.6477 0.0261 0.8339
O 0.6477 0.4739 0.8339
O 0.6703 0.2500 0.0676
O 0.7315 0.5266 0.3408
O 0.7315 0.9734 0.3408
O 0.7841 0.7500 0.5748
O 0.9307 0.2500 0.8965

# 2
Computed X-ray diffraction stick pattern
Compound: K2HoSbO7
Radiation: Cu Kα X-rays
Structure: a cell relaxed with GGA-PBE
Kinematic intensities with the Lorentz-polarization factor, no thermal factor.

Principal peaks in the range 2θ from 10° to 80°, in order of rising 2θ:
d/Å, Position (°2θ), I_rel
6.699, 13.22, 70
5.812, 15.25, 32
4.054, 21.93, 25
3.474, 25.64, 30
3.350, 26.61, 100
3.300, 27.02, 94
2.906, 30.77, 49
2.027, 44.71, 58
1.759, 52.00, 34
1.737, 52.69, 28

Atomic structure:
abc: 8.1111 8.1111 8.1111
angles: 119.87 91.57 118.34
Atoms (fractional coordinates):
K 0.0000 0.0000 0.0000
K 0.5000 0.0000 0.0000
K 0.5000 0.0000 0.5000
K 0.5000 0.5000 0.5000
Ho 0.0000 0.0000 0.5000
Ho 0.0000 0.5000 0.0000
Sb 0.0000 0.5000 0.5000
Sb 0.5000 0.5000 0.0000
O 0.0421 0.2540 0.4342
O 0.0421 0.6079 0.7881
O 0.1113 0.8613 0.2500
O 0.2900 0.7061 0.5840
O 0.3198 0.2540 0.7119
O 0.3198 0.6079 0.0658
O 0.3779 0.2939 0.0840
O 0.6221 0.7061 0.9160
O 0.6802 0.3921 0.9342
O 0.6802 0.7460 0.2881
O 0.7100 0.2939 0.4160
O 0.8887 0.1387 0.7500
O 0.9579 0.3921 0.2119
O 0.9579 0.7460 0.5658